Starting from the PBE geometry in Alexandria, the powder diffraction line list of PbSeS3 was simulated for Cu Kα (weighted mean of Kα1 and Kα2).
Intensities are scaled so that the largest is 100.

The 6 most intense peaks (10 to 80 degrees two-theta), in order of rising 2θ:
2θ (°)  d/Å  Rel. int.  h k l
19.76  4.493  66  1 1 1
25.12  3.545  63  2 0 1
25.23  3.530  100  1 1 2
30.36  2.944  36  1 2 1
32.46  2.758  48  1 1 3
36.77  2.444  43  2 2 1

Cell and atoms:
```
data_PbSeS3
_cell_length_a 7.595
_cell_length_b 6.749
_cell_length_c 9.882
_cell_angle_alpha 90.00
_cell_angle_beta 90.00
_cell_angle_gamma 90.00
_symmetry_space_group_name_H-M 'P 1'
_symmetry_Int_Tables_number 1
loop_
_symmetry_equiv_pos_as_xyz
'x,y,z'
loop_
_atom_site_label
_atom_site_fract_x
_atom_site_fract_y
_atom_site_fract_z
Pb1 0.108 0.042 0.000
Pb2 0.392 0.542 0.500
Pb3 0.608 0.458 0.000
Pb4 0.892 0.958 0.500
Se1 0.058 0.552 0.203
Se2 0.442 0.052 0.703
Se3 0.558 0.948 0.203
Se4 0.942 0.448 0.703
S1 0.017 0.370 0.493
S2 0.174 0.826 0.289
S3 0.209 0.848 0.688
S4 0.291 0.348 0.188
S5 0.326 0.326 0.789
S6 0.483 0.870 0.993
S7 0.517 0.130 0.493
S8 0.674 0.674 0.289
S9 0.709 0.652 0.688
S10 0.791 0.152 0.188
S11 0.826 0.174 0.789
S12 0.983 0.630 0.993
```